Record 1
Starting from the PBE+U geometry in Alexandria, the powder X-ray diffraction pattern of FePH6NO5 was computed for a wavelength of 1.5418 Å.

Crystal structure
a = 4.8905 Å, b = 5.7064 Å, c = 8.9895 Å
α = 89.85°, β = 89.95°, γ = 86.90°
Element x y z (fractional)
Fe  0.0000  0.0000  0.0000
Fe  0.4928  0.4910  0.0464
P  0.4298  0.9917  0.2181
P  0.9327  0.5087  0.8259
H  0.0533  0.0114  0.4748
H  0.1976  0.5119  0.5660
H  0.3518  0.1769  0.8195
H  0.3761  0.6876  0.4493
H  0.3933  0.3912  0.4274
H  0.4712  0.9105  0.8352
H  0.5516  0.5120  0.5738
H  0.6995  0.0132  0.4802
H  0.8642  0.6592  0.2251
H  0.8761  0.1928  0.5953
H  0.8899  0.8980  0.6231
H  0.9598  0.3896  0.2120
N  0.3785  0.5251  0.5039
N  0.8788  0.0277  0.5433
O  0.2435  0.4902  0.8523
O  0.2749  0.2112  0.1433
O  0.2939  0.7769  0.1443
O  0.3027  0.0106  0.8166
O  0.3789  0.9925  0.3888
O  0.7391  0.9838  0.1880
O  0.7906  0.3097  0.9145
O  0.7970  0.7458  0.8853
O  0.8003  0.4982  0.2336
O  0.8763  0.4868  0.6564

Most intense lines, 2θ from 10° to 90°, by intensity:
| 2theta | I_rel |
| --- | --- |
| 30.76 | 100 |
| 31.78 | 72 |
| 31.40 | 65 |
| 20.70 | 58 |
| 18.43 | 38 |
| 38.20 | 28 |
| 26.59 | 27 |
| 25.39 | 21 |

=====

Record 2
Starting from the PBE+U geometry in Alexandria, the powder X-ray diffraction pattern of Mo3Cl7O was computed for a wavelength of 1.5418 Å.

Crystal structure
a = 7.2282 Å, b = 7.2282 Å, c = 9.0420 Å
α = 126.61°, β = 126.61°, γ = 59.99°
Element x y z (fractional)
Mo  0.0000  0.0000  0.0000
Mo  0.9999  0.4707  0.0001
Mo  0.4707  0.9999  0.0001
Cl  0.2060  0.7170  0.7711
Cl  0.2065  0.2065  0.7719
Cl  0.2544  0.7647  0.2099
Cl  0.7170  0.2060  0.7711
Cl  0.7183  0.7183  0.7884
Cl  0.7644  0.7644  0.2094
Cl  0.7647  0.2544  0.2099
O  0.2182  0.2182  0.1234

Most intense lines, 2θ from 10° to 90°, by intensity:
| 2theta | I_rel |
| --- | --- |
| 13.51 | 100 |
| 31.71 | 45 |
| 39.88 | 30 |
| 31.61 | 23 |
| 39.74 | 22 |
| 15.68 | 21 |
| 50.51 | 21 |
| 50.90 | 15 |